For Sc3P2Ir3Rh4, the PBE geometry in Alexandria gives the computed XRD peak list in this record (a wavelength of 1.5418 Å).
Peak positions follow from Bragg's law for the DFT cell and can differ from measured ones.

Top 10 peaks for 2θ from 10° to 90°, in order of rising 2θ:
2theta, Rel. int.
14.50, 33
24.25, 23
28.89, 18
31.25, 19
32.12, 39
34.61, 69
36.77, 25
43.32, 100
45.49, 32
46.63, 21

abc: 12.552 12.552 12.552
angles: 161.72 26.37 161.15
Atoms (fractional coordinates):
Sc  0.000  0.000  0.000
Sc  0.547  0.742  0.805
Sc  0.937  0.742  0.195
P  0.163  0.737  0.426
P  0.311  0.737  0.574
Ir  0.114  0.234  0.880
Ir  0.353  0.234  0.120
Ir  0.562  0.062  0.500
Rh  0.043  0.742  0.301
Rh  0.440  0.742  0.699
Rh  0.624  0.239  0.385
Rh  0.855  0.239  0.615